Record 1
TlCd2CuBr6: theoretical PXRD pattern (Cu Kα (λ = 1.5418 Å)), based on a DFT-relaxed cell (PBE, Alexandria).
Intensities are scaled so that the largest is 100.

Main lines, by intensity (2θ = 15–90°):
| 2θ/deg | I_rel | (hkl) |
| --- | --- | --- |
| 20.9 | 100 | 3 1 0 |
| 22.0 | 69 | 1 3 -1 |
| 26.9 | 66 | 3 3 -1 |
| 18.9 | 61 | 2 2 -1 |
| 23.1 | 52 | 1 1 -2 |
| 44.4 | 50 | 5 3 1 |
| 35.9 | 49 | 2 2 -3 |
| 28.4 | 48 | 4 0 -2 |
| 38.3 | 47 | 0 6 0 |
| 27.8 | 46 | 4 2 -1 |

Crystal structure
Lattice parameters (Å, degrees): 14.4487 14.0963 8.0363 90.00 111.96 90.00
Space group C2/c (No. 15)
One atom of each set of equivalent atoms:
Tl 0.0000 0.1165 0.2500 x4
Cd 0.1874 0.4238 0.1806 x8
Cu 0.0000 0.2166 0.7500 x4
Br 0.1132 0.2567 0.0424 x8
Br 0.1151 0.0826 0.6872 x8
Br 0.1298 0.4283 0.4644 x8

***

Record 2
La3Dy3Th4: theoretical PXRD pattern (Cu Kα (λ = 1.5418 Å)), based on a DFT-relaxed cell (PBE, Alexandria).
Intensities are scaled so that the largest is 100.

Main lines, by intensity (2θ = 15–90°):
| 2θ/deg | I_rel | (hkl) |
| --- | --- | --- |
| 31.4 | 100 | 1 3 1 |
| 31.5 | 95 | 1 1 3 |
| 29.7 | 52 | 0 2 4 |
| 29.5 | 51 | 0 4 2 |
| 57.0 | 33 | 2 2 4 |
| 30.0 | 23 | 1 2 2 |
| 37.7 | 22 | 0 4 4 |
| 57.1 | 21 | 1 7 3 |
| 57.4 | 21 | 1 3 7 |
| 47.6 | 20 | 2 0 0 |

Crystal structure
Lattice parameters (Å, degrees): 3.8213 13.5678 13.4417 90.00 90.00 90.00
Space group Amm2 (No. 38)
One atom of each set of equivalent atoms:
La 0.0000 0.0000 0.0000 x2
La 0.5000 0.2451 0.5857 x4
Dy 0.0000 0.0000 0.6717 x2
Dy 0.0000 0.1647 0.3353 x4
Th 0.5000 0.0000 0.2062 x2
Th 0.5000 0.0000 0.4648 x2
Th 0.5000 0.1310 0.8345 x4

***

Record 3
CoSe2Br: theoretical PXRD pattern (Cu Kα (λ = 1.5418 Å)), based on a DFT-relaxed cell (PBE, Alexandria).
Intensities are scaled so that the largest is 100.

Main lines, by intensity (2θ = 15–90°):
| 2θ/deg | I_rel | (hkl) |
| --- | --- | --- |
| 33.4 | 100 | 1 3 -1 |
| 35.0 | 69 | 2 0 1 |
| 51.9 | 34 | 3 3 0 |
| 46.0 | 33 | 1 3 -2 |
| 49.3 | 29 | 0 6 0 |
| 33.7 | 28 | 1 3 1 |
| 28.3 | 25 | 1 3 0 |
| 46.3 | 25 | 1 3 2 |
| 17.6 | 24 | 0 0 1 |
| 61.9 | 23 | 2 6 1 |

Crystal structure
Lattice parameters (Å, degrees): 6.0187 11.0907 5.0349 90.00 90.82 90.00
Space group C2 (No. 5)
One atom of each set of equivalent atoms:
Co 0.0000 0.0000 0.0000 x2
Co 0.0000 0.3109 0.0000 x2
Se 0.1254 0.1531 0.7157 x4
Se 0.1270 0.4960 0.8110 x4
Br 0.1624 0.8306 0.7431 x4

***

Record 4
BaY3B4S12: theoretical PXRD pattern (Cu Kα (λ = 1.5418 Å)), based on a DFT-relaxed cell (PBE, Alexandria).
Intensities are scaled so that the largest is 100.

Main lines, by intensity (2θ = 15–90°):
| 2θ/deg | I_rel | (hkl) |
| --- | --- | --- |
| 23.1 | 100 | 2 0 2 |
| 18.1 | 52 | 0 2 1 |
| 37.9 | 45 | 2 2 3 |
| 33.8 | 36 | 3 1 2 |
| 37.2 | 24 | 0 2 4 |
| 33.7 | 20 | 4 0 1 |
| 22.9 | 17 | 2 1 1 |
| 28.1 | 16 | 2 2 0 |
| 42.7 | 13 | 3 3 0 |
| 45.0 | 11 | 1 3 4 |

Crystal structure
Lattice parameters (Å, degrees): 12.6963 12.6963 10.7495 90.00 90.00 120.00
Space group R32 (No. 155, hexagonal axes)
One atom of each set of equivalent atoms:
Ba 0.0000 0.0000 0.0000 x3
Y 0.0000 0.5391 0.0000 x9
B 0.0000 0.0000 0.5000 x3
B 0.0000 0.4577 0.5000 x9
S 0.0000 0.6017 0.5000 x9
S 0.0000 0.8569 0.5000 x9
S 0.0132 0.2019 0.1856 x18

***

- What is the formula in the third record?
  CoSe2Br